Record 1
Calculated powder diffraction line list of GaNiRh2 for CuKα, from a structure optimized by DFT (GGA-PBE).
Intensities are scaled so that the largest is 100.

Largest 6 diffraction maxima, low angle first, 10° ≤ 2θ ≤ 80°:
29.8 deg, d 2.997, I 6
42.7 deg, d 2.120, I 100
52.9 deg, d 1.731, I 2
61.9 deg, d 1.499, I 16
70.2 deg, d 1.340, I 2
78.1 deg, d 1.224, I 32

Structural model:
Cell lengths 5.9949, 5.9949, 5.9949 Å; angles 90.00, 90.00, 90.00 degrees
Fractional positions:
Ga (0.0000, 0.0000, 0.0000)
Ga (0.0000, 0.5000, 0.5000)
Ga (0.5000, 0.0000, 0.5000)
Ga (0.5000, 0.5000, 0.0000)
Ni (0.0000, 0.0000, 0.5000)
Ni (0.0000, 0.5000, 0.0000)
Ni (0.5000, 0.0000, 0.0000)
Ni (0.5000, 0.5000, 0.5000)
Rh (0.2500, 0.2500, 0.2500)
Rh (0.2500, 0.2500, 0.7500)
Rh (0.2500, 0.7500, 0.2500)
Rh (0.2500, 0.7500, 0.7500)
Rh (0.7500, 0.2500, 0.2500)
Rh (0.7500, 0.2500, 0.7500)
Rh (0.7500, 0.7500, 0.2500)
Rh (0.7500, 0.7500, 0.7500)

---

Record 2
Calculated powder diffraction line list of Nb2Zn2TeO8 for CuKα, from a structure optimized by DFT (GGA-PBE).
Intensities are scaled so that the largest is 100.

Largest 6 diffraction maxima, low angle first, 10° ≤ 2θ ≤ 80°:
23.9 deg, d 3.720, I 67
24.8 deg, d 3.593, I 100
30.6 deg, d 2.918, I 91
33.7 deg, d 2.658, I 68
34.1 deg, d 2.627, I 87
34.3 deg, d 2.615, I 70

Structural model:
Cell lengths 5.2681, 6.1441, 11.4558 Å; angles 78.92, 82.89, 89.81 degrees
Fractional positions:
Nb (0.1974, 0.3137, 0.2451)
Nb (0.2789, 0.9904, 0.7811)
Nb (0.7211, 0.0096, 0.2189)
Nb (0.8026, 0.6863, 0.7549)
Zn (0.2527, 0.8702, 0.0544)
Zn (0.2657, 0.4276, 0.9519)
Zn (0.7343, 0.5724, 0.0481)
Zn (0.7473, 0.1298, 0.9456)
Te (0.3340, 0.6649, 0.4794)
Te (0.6660, 0.3351, 0.5206)
O (0.0111, 0.0228, 0.3069)
O (0.0330, 0.4708, 0.3531)
O (0.0849, 0.6959, 0.8756)
O (0.1267, 0.1622, 0.9001)
O (0.3514, 0.5519, 0.1036)
O (0.4471, 0.1000, 0.1056)
O (0.4569, 0.2473, 0.6778)
O (0.4989, 0.2149, 0.3167)
O (0.5011, 0.7851, 0.6833)
O (0.5431, 0.7527, 0.3222)
O (0.5529, 0.9000, 0.8944)
O (0.6486, 0.4481, 0.8964)
O (0.8733, 0.8378, 0.0999)
O (0.9151, 0.3041, 0.1244)
O (0.9670, 0.5292, 0.6469)
O (0.9889, 0.9772, 0.6931)

---

Record 3
Calculated powder diffraction line list of LiCePCO7 for CuKα, from a structure optimized by DFT (GGA-PBE).
Intensities are scaled so that the largest is 100.

Largest 6 diffraction maxima, low angle first, 10° ≤ 2θ ≤ 80°:
16.0 deg, d 5.554, I 100
19.1 deg, d 4.651, I 47
20.1 deg, d 4.416, I 60
21.2 deg, d 4.183, I 63
25.1 deg, d 3.541, I 49
25.4 deg, d 3.500, I 77

Structural model:
Cell lengths 5.2266, 7.0002, 9.1401 Å; angles 90.00, 93.44, 90.00 degrees
Fractional positions:
Li (0.2403, 0.0000, 0.3028)
Li (0.7597, 0.5000, 0.6972)
Ce (0.2199, 0.2333, 0.8425)
Ce (0.7801, 0.7333, 0.1575)
P (0.2776, 0.7352, 0.9198)
P (0.7224, 0.2352, 0.0802)
C (0.2738, 0.2596, 0.5493)
C (0.7262, 0.7596, 0.4507)
O (0.0466, 0.2654, 0.6082)
O (0.1441, 0.5590, 0.8482)
O (0.1934, 0.7592, 0.0807)
O (0.2117, 0.9165, 0.8295)
O (0.3052, 0.2121, 0.4216)
O (0.4266, 0.2042, 0.0668)
O (0.4652, 0.2983, 0.6485)
O (0.5348, 0.7983, 0.3515)
O (0.5734, 0.7042, 0.9332)
O (0.6948, 0.7121, 0.5784)
O (0.7883, 0.4165, 0.1705)
O (0.8066, 0.2592, 0.9193)
O (0.8559, 0.0590, 0.1518)
O (0.9534, 0.7654, 0.3918)

---

Record 4
Calculated powder diffraction line list of KMg14Mo for CuKα, from a structure optimized by DFT (GGA-PBE).
Intensities are scaled so that the largest is 100.

Largest 6 diffraction maxima, low angle first, 10° ≤ 2θ ≤ 80°:
31.6 deg, d 2.830, I 25
35.0 deg, d 2.565, I 36
36.2 deg, d 2.478, I 100
36.8 deg, d 2.443, I 45
63.6 deg, d 1.464, I 17
68.7 deg, d 1.366, I 17

Structural model:
Cell lengths 10.2618, 6.4574, 6.4574 Å; angles 61.23, 90.00, 90.00 degrees
Fractional positions:
K (0.0000, 0.0000, 0.0000)
Mg (0.0000, 0.0042, 0.4967)
Mg (0.0000, 0.4967, 0.0042)
Mg (0.2367, 0.6592, 0.6592)
Mg (0.2511, 0.1809, 0.6502)
Mg (0.2511, 0.6502, 0.1809)
Mg (0.2647, 0.1701, 0.1701)
Mg (0.5000, 0.4985, 0.4985)
Mg (0.5000, 0.5032, 0.9932)
Mg (0.5000, 0.9932, 0.5032)
Mg (0.5000, 0.9956, 0.9956)
Mg (0.7353, 0.1701, 0.1701)
Mg (0.7489, 0.1809, 0.6502)
Mg (0.7489, 0.6502, 0.1809)
Mg (0.7633, 0.6592, 0.6592)
Mo (0.0000, 0.4891, 0.4891)

---

Record 5
Calculated powder diffraction line list of Mg6SiC for CuKα, from a structure optimized by DFT (GGA-PBE).
Intensities are scaled so that the largest is 100.

Largest 6 diffraction maxima, low angle first, 10° ≤ 2θ ≤ 80°:
27.9 deg, d 3.201, I 8
34.0 deg, d 2.636, I 16
37.6 deg, d 2.394, I 100
38.7 deg, d 2.327, I 27
48.8 deg, d 1.865, I 17
67.8 deg, d 1.382, I 11

Structural model:
Cell lengths 3.7285, 8.2270, 9.5817 Å; angles 90.00, 90.00, 90.00 degrees
Fractional positions:
Mg (0.0000, 0.0000, 0.0000)
Mg (0.0000, 0.0000, 0.4212)
Mg (0.0000, 0.1746, 0.7185)
Mg (0.0000, 0.3254, 0.2185)
Mg (0.0000, 0.5000, 0.5000)
Mg (0.0000, 0.5000, 0.9212)
Mg (0.0000, 0.6746, 0.2185)
Mg (0.0000, 0.8254, 0.7185)
Mg (0.5000, 0.2424, 0.9552)
Mg (0.5000, 0.2576, 0.4552)
Mg (0.5000, 0.7424, 0.4552)
Mg (0.5000, 0.7576, 0.9552)
Si (0.5000, 0.0000, 0.2191)
Si (0.5000, 0.5000, 0.7191)
C (0.5000, 0.0000, 0.8367)
C (0.5000, 0.5000, 0.3367)

---

Record 6
Calculated powder diffraction line list of ZnCu2SnS4 for CuKα, from a structure optimized by DFT (GGA-PBE).
Intensities are scaled so that the largest is 100.

Largest 6 diffraction maxima, low angle first, 10° ≤ 2θ ≤ 80°:
28.3 deg, d 3.152, I 100
32.8 deg, d 2.730, I 16
47.1 deg, d 1.930, I 59
55.8 deg, d 1.646, I 42
68.7 deg, d 1.366, I 6
76.0 deg, d 1.253, I 16

Structural model:
Cell lengths 5.4635, 5.4635, 10.9042 Å; angles 90.00, 90.00, 90.00 degrees
Fractional positions:
Zn (0.0000, 0.0000, 0.0000)
Zn (0.5000, 0.5000, 0.5000)
Cu (0.0000, 0.0000, 0.5000)
Cu (0.0000, 0.5000, 0.7500)
Cu (0.5000, 0.0000, 0.2500)
Cu (0.5000, 0.5000, 0.0000)
Sn (0.0000, 0.5000, 0.2500)
Sn (0.5000, 0.0000, 0.7500)
S (0.2337, 0.2577, 0.6208)
S (0.2423, 0.7337, 0.8792)
S (0.2577, 0.7663, 0.3792)
S (0.2663, 0.2423, 0.1208)
S (0.7337, 0.7577, 0.1208)
S (0.7423, 0.2337, 0.3792)
S (0.7577, 0.2663, 0.8792)
S (0.7663, 0.7423, 0.6208)

---

Record 7
Calculated powder diffraction line list of TeMoWSeS2 for CuKα, from a structure optimized by DFT (GGA-PBE).
Intensities are scaled so that the largest is 100.

Largest 6 diffraction maxima, low angle first, 10° ≤ 2θ ≤ 80°:
11.8 deg, d 7.524, I 100
14.1 deg, d 6.270, I 27
31.3 deg, d 2.861, I 42
36.7 deg, d 2.446, I 74
44.5 deg, d 2.035, I 40
55.6 deg, d 1.653, I 27

Structural model:
Cell lengths 3.3065, 3.3065, 37.6216 Å; angles 90.00, 90.00, 120.00 degrees
Fractional positions:
Te (0.0000, 0.0000, 0.0000)
Te (0.0000, 0.0000, 0.1015)
Mo (0.0000, 0.0000, 0.4871)
Mo (0.3333, 0.6667, 0.0508)
W (0.0000, 0.0000, 0.8628)
W (0.3333, 0.6667, 0.6750)
Se (0.3333, 0.6667, 0.8179)
Se (0.3333, 0.6667, 0.9076)
S (0.0000, 0.0000, 0.6342)
S (0.0000, 0.0000, 0.7157)
S (0.3333, 0.6667, 0.4464)
S (0.3333, 0.6667, 0.5277)

---

Record 8
Calculated powder diffraction line list of Ba2Pb for CuKα, from a structure optimized by DFT (GGA-PBE).
Intensities are scaled so that the largest is 100.

Largest 6 diffraction maxima, low angle first, 10° ≤ 2θ ≤ 80°:
20.1 deg, d 4.413, I 23
24.7 deg, d 3.610, I 37
26.7 deg, d 3.336, I 100
29.1 deg, d 3.065, I 67
30.8 deg, d 2.901, I 56
35.7 deg, d 2.515, I 26

Structural model:
Cell lengths 8.8025, 5.8030, 10.8271 Å; angles 90.00, 90.00, 90.00 degrees
Fractional positions:
Ba (0.0188, 0.2500, 0.1829)
Ba (0.1600, 0.2500, 0.5791)
Ba (0.3400, 0.7500, 0.0791)
Ba (0.4812, 0.7500, 0.6829)
Ba (0.5188, 0.2500, 0.3171)
Ba (0.6600, 0.2500, 0.9209)
Ba (0.8400, 0.7500, 0.4209)
Ba (0.9812, 0.7500, 0.8171)
Pb (0.2472, 0.2500, 0.8985)
Pb (0.2528, 0.7500, 0.3985)
Pb (0.7472, 0.2500, 0.6015)
Pb (0.7528, 0.7500, 0.1015)

---

Record 9
Calculated powder diffraction line list of Ca6Ge2O for CuKα, from a structure optimized by DFT (GGA-PBE).
Intensities are scaled so that the largest is 100.

Largest 6 diffraction maxima, low angle first, 10° ≤ 2θ ≤ 80°:
26.2 deg, d 3.403, I 12
32.2 deg, d 2.778, I 100
37.4 deg, d 2.406, I 58
53.9 deg, d 1.701, I 37
64.2 deg, d 1.451, I 37
67.4 deg, d 1.389, I 12

Structural model:
Cell lengths 6.8054, 6.8054, 6.8054 Å; angles 60.00, 60.00, 60.00 degrees
Fractional positions:
Ca (0.2465, 0.2465, 0.7535)
Ca (0.2465, 0.7535, 0.2465)
Ca (0.2465, 0.7535, 0.7535)
Ca (0.7535, 0.2465, 0.2465)
Ca (0.7535, 0.2465, 0.7535)
Ca (0.7535, 0.7535, 0.2465)
Ge (0.2500, 0.2500, 0.2500)
Ge (0.7500, 0.7500, 0.7500)
O (0.0000, 0.0000, 0.0000)

---

Record 10
Calculated powder diffraction line list of NaMgF3 for CuKα, from a structure optimized by DFT (GGA-PBE).
Intensities are scaled so that the largest is 100.

Largest 6 diffraction maxima, low angle first, 10° ≤ 2θ ≤ 80°:
29.8 deg, d 3.003, I 66
39.9 deg, d 2.259, I 80
40.4 deg, d 2.232, I 53
41.8 deg, d 2.162, I 100
47.0 deg, d 1.932, I 39
60.2 deg, d 1.536, I 66

Structural model:
Cell lengths 5.2849, 5.2849, 7.4603 Å; angles 90.00, 90.00, 146.55 degrees
Fractional positions:
Na (0.2429, 0.7571, 0.7500)
Na (0.7571, 0.2429, 0.2500)
Mg (0.5000, 0.5000, 0.0000)
Mg (0.5000, 0.5000, 0.5000)
F (0.1265, 0.8735, 0.0569)
F (0.1265, 0.8735, 0.4431)
F (0.4288, 0.5712, 0.2500)
F (0.5712, 0.4288, 0.7500)
F (0.8735, 0.1265, 0.5569)
F (0.8735, 0.1265, 0.9431)

---

Record 11
Calculated powder diffraction line list of CeGeRh for CuKα, from a structure optimized by DFT (GGA-PBE).
Intensities are scaled so that the largest is 100.

Largest 6 diffraction maxima, low angle first, 10° ≤ 2θ ≤ 80°:
33.6 deg, d 2.670, I 35
34.6 deg, d 2.591, I 100
40.1 deg, d 2.248, I 16
41.0 deg, d 2.204, I 66
54.7 deg, d 1.679, I 17
66.6 deg, d 1.404, I 15

Structural model:
Cell lengths 7.0589, 4.4105, 7.6269 Å; angles 90.00, 90.00, 90.00 degrees
Fractional positions:
Ce (0.0162, 0.2500, 0.1984)
Ce (0.4838, 0.7500, 0.6984)
Ce (0.5162, 0.2500, 0.3016)
Ce (0.9838, 0.7500, 0.8016)
Ge (0.1793, 0.2500, 0.5806)
Ge (0.3207, 0.7500, 0.0806)
Ge (0.6793, 0.2500, 0.9194)
Ge (0.8207, 0.7500, 0.4194)
Rh (0.2112, 0.7500, 0.4063)
Rh (0.2888, 0.2500, 0.9063)
Rh (0.7112, 0.7500, 0.0937)
Rh (0.7888, 0.2500, 0.5937)

---

Record 12
Calculated powder diffraction line list of CaSnF6 for CuKα, from a structure optimized by DFT (GGA-PBE).
Intensities are scaled so that the largest is 100.

Largest 6 diffraction maxima, low angle first, 10° ≤ 2θ ≤ 80°:
18.5 deg, d 4.806, I 27
21.2 deg, d 4.190, I 100
29.8 deg, d 2.993, I 19
43.2 deg, d 2.095, I 24
48.2 deg, d 1.889, I 24
49.0 deg, d 1.859, I 18

Structural model:
Cell lengths 5.9894, 5.9894, 5.9894 Å; angles 58.64, 58.64, 58.64 degrees
Fractional positions:
Ca (0.0000, 0.0000, 0.0000)
Sn (0.5000, 0.5000, 0.5000)
F (0.1952, 0.7327, 0.3381)
F (0.2673, 0.6619, 0.8048)
F (0.3381, 0.1952, 0.7327)
F (0.6619, 0.8048, 0.2673)
F (0.7327, 0.3381, 0.1952)
F (0.8048, 0.2673, 0.6619)